Structure and simulated powder X-ray diffraction pattern of CeEr3Fe8 (DFT lattice parameters and positions (GGA-PBE); a wavelength of 1.5418 Å).
Intensities are scaled so that the largest is 100.

Structure:
```
12
Lattice="2.5403 1.4667 8.3457 -2.5403 1.4667 8.3457 0.0000 -2.9333 8.3457" Properties=species:S:1:pos:R:3 pbc="T T T"
Ce 0.0000 0.0000 0.0000
Er 0.0000 0.0000 9.3632
Er 0.0000 0.0000 12.4560
Er 0.0000 0.0000 21.8609
Fe 0.0000 0.0000 4.7074
Fe 0.0000 -1.4642 15.0704
Fe -1.2680 0.7321 15.0704
Fe -1.2705 -0.7335 19.2801
Fe 0.0000 0.0000 17.1340
Fe 1.2680 0.7321 15.0704
Fe 1.2705 -0.7335 19.2801
Fe 0.0000 1.4671 19.2801
```

Top 10 peaks for 2θ from 5° to 70°, most intense first:
Position (°2θ), I (rel.)
41.64, 100.0
35.19, 45.8
35.33, 45.3
41.50, 33.4
67.67, 30.2
63.36, 25.1
21.41, 17.0
43.61, 13.5
63.05, 8.4
67.50, 7.7

Structure and simulated powder X-ray diffraction pattern of CeErFe (DFT lattice parameters and positions (GGA-PBE); a wavelength of 1.5418 Å).
Intensities are scaled so that the largest is 100.

Structure:
```
3
Lattice="4.0268 0.0000 0.0000 -2.0134 3.4873 0.0000 0.0000 0.0000 4.9464" Properties=species:S:1:pos:R:3 pbc="T T T"
Ce 0.0000 0.0000 0.0000
Er 0.0000 2.3249 2.4732
Fe 2.0134 1.1624 0.0000
```

Top 10 peaks for 2θ from 5° to 70°, most intense first:
Position (°2θ), I (rel.)
31.39, 100.0
45.01, 37.2
59.17, 28.6
36.32, 19.9
55.91, 19.5
62.29, 14.0
25.54, 10.1
65.50, 1.6
52.48, 1.5
17.93, 1.2

Structure and simulated powder X-ray diffraction pattern of CeErFe (DFT lattice parameters and positions (GGA-PBE); a wavelength of 1.5418 Å).
Intensities are scaled so that the largest is 100.

Structure:
```
6
Lattice="2.5864 1.4933 6.2792 -2.5864 1.4933 6.2792 0.0000 -2.9865 6.2792" Properties=species:S:1:pos:R:3 pbc="T T T"
Ce 0.0000 0.0000 2.3881
Ce 0.0000 0.0000 16.4495
Er 0.0000 0.0000 7.1655
Er 0.0000 0.0000 11.6721
Fe 0.0000 0.0000 4.4924
Fe 0.0000 0.0000 14.3452
```

Top 10 peaks for 2θ from 5° to 70°, most intense first:
Position (°2θ), I (rel.)
34.68, 100.0
27.48, 83.5
43.42, 48.7
68.22, 25.0
44.81, 22.7
56.72, 21.9
57.87, 21.6
62.16, 18.1
21.97, 6.5
45.43, 4.2

Structure and simulated powder X-ray diffraction pattern of CeEr2Ga2 (DFT lattice parameters and positions (GGA-PBE); a wavelength of 1.5418 Å).
Intensities are scaled so that the largest is 100.

Structure:
```
10
Lattice="5.4365 0.0000 0.0000 0.0000 3.9120 0.0000 -1.5141 0.0000 12.4027" Properties=species:S:1:pos:R:3 pbc="T T T"
Ce 0.6010 0.9780 2.8541
Ce 3.3215 2.9340 9.5486
Er 0.5985 2.9340 5.7731
Er 0.5488 0.9780 11.0387
Er 3.3736 2.9340 1.3640
Er 3.3239 0.9780 6.6295
Ga 0.7130 2.9340 0.3926
Ga 0.6013 0.9780 8.1338
Ga 3.3211 2.9340 4.2689
Ga 3.2094 0.9780 12.0101
```

Top 10 peaks for 2θ from 5° to 70°, most intense first:
Position (°2θ), I (rel.)
31.48, 100.0
30.77, 91.8
33.15, 69.0
29.60, 61.8
38.05, 50.1
35.08, 39.4
46.42, 34.8
32.65, 29.4
61.51, 28.8
58.23, 27.4

Structure and simulated powder X-ray diffraction pattern of Ce3ErGa2 (DFT lattice parameters and positions (GGA-PBE); a wavelength of 1.5418 Å).
Intensities are scaled so that the largest is 100.

Structure:
```
12
Lattice="8.7405 -2.1532 0.0000 8.7405 2.1532 0.0000 -3.8130 0.0000 7.7081" Properties=species:S:1:pos:R:3 pbc="T T T"
Ce -0.5040 0.0000 3.4430
Ce 2.7193 0.0000 4.6244
Ce 5.3941 0.0000 2.4331
Ce 8.2738 0.0000 5.2749
Ce 10.9487 0.0000 3.0837
Ce 14.1720 0.0000 4.2651
Er 1.7621 0.0000 0.2746
Er 11.9058 0.0000 7.4335
Ga 0.9252 0.0000 7.0327
Ga 5.2652 0.0000 6.4046
Ga 8.4028 0.0000 1.3035
Ga 12.7428 0.0000 0.6753
```

Top 10 peaks for 2θ from 5° to 70°, most intense first:
Position (°2θ), I (rel.)
32.21, 100.0
31.74, 59.0
37.74, 53.0
41.96, 51.1
29.72, 45.5
34.70, 40.2
33.53, 35.7
35.43, 32.3
53.56, 26.9
23.08, 20.1

Structure and simulated powder X-ray diffraction pattern of Ce5ErGa6 (DFT lattice parameters and positions (GGA-PBE); a wavelength of 1.5418 Å).
Intensities are scaled so that the largest is 100.

Structure:
```
12
Lattice="2.5586 -7.7013 0.0000 2.5586 7.7013 0.0000 0.0000 0.0000 7.2492" Properties=species:S:1:pos:R:3 pbc="T T T"
Ce 0.0000 0.0000 0.0000
Ce 2.5586 2.6787 0.0000
Ce 2.5586 2.5552 3.6246
Ce 2.5586 -2.5552 3.6246
Ce 2.5586 -2.6787 0.0000
Er 0.0000 0.0000 3.6246
Ga 2.5586 5.2090 1.8639
Ga 2.5586 5.2090 5.3853
Ga 2.5586 0.0000 1.8279
Ga 2.5586 0.0000 5.4213
Ga 2.5586 -5.2090 1.8639
Ga 2.5586 -5.2090 5.3853
```

Top 10 peaks for 2θ from 5° to 70°, most intense first:
Position (°2θ), I (rel.)
35.00, 100.0
62.86, 21.6
50.35, 21.0
62.74, 20.9
35.07, 20.1
24.56, 15.6
56.78, 5.3
43.28, 2.4
43.18, 2.3
56.88, 1.1

Structure and simulated powder X-ray diffraction pattern of CeErGe3 (DFT lattice parameters and positions (GGA-PBE); a wavelength of 1.5418 Å).
Intensities are scaled so that the largest is 100.

Structure:
```
10
Lattice="2.1004 -13.4030 0.0000 2.1004 13.4030 0.0000 0.0000 0.0000 3.9914" Properties=species:S:1:pos:R:3 pbc="T T T"
Ce 2.1004 11.4118 2.9935
Ce 2.1004 -11.4118 0.9978
Er 2.1004 7.9331 0.9978
Er 2.1004 -7.9331 2.9935
Ge 2.1004 5.0104 0.9978
Ge 2.1004 3.3228 2.9935
Ge 2.1004 0.7627 2.9935
Ge 2.1004 -0.7627 0.9978
Ge 2.1004 -3.3228 0.9978
Ge 2.1004 -5.0104 2.9935
```

Top 10 peaks for 2θ from 5° to 70°, most intense first:
Position (°2θ), I (rel.)
32.53, 100.0
31.62, 45.1
40.54, 30.3
43.07, 24.3
45.45, 20.8
60.62, 18.3
56.42, 17.4
25.98, 16.4
43.61, 15.5
26.60, 14.7

Structure and simulated powder X-ray diffraction pattern of Ce3ErH8 (DFT lattice parameters and positions (GGA-PBE); a wavelength of 1.5418 Å).
Intensities are scaled so that the largest is 100.

Structure:
```
12
Lattice="5.3603 0.0000 0.0000 0.0000 5.3603 0.0000 0.0000 0.0000 5.3603" Properties=species:S:1:pos:R:3 pbc="T T T"
Ce 0.0000 0.0000 2.6802
Ce 0.0000 2.6802 0.0000
Ce 2.6802 0.0000 0.0000
Er 2.6802 2.6802 2.6802
H 1.3905 1.3905 1.3905
H 1.3905 1.3905 3.9699
H 1.3905 3.9699 1.3905
H 1.3905 3.9699 3.9699
H 3.9699 1.3905 1.3905
H 3.9699 1.3905 3.9699
H 3.9699 3.9699 1.3905
H 3.9699 3.9699 3.9699
```

Top 6 peaks for 2θ from 5° to 70°, most intense first:
Position (°2θ), I (rel.)
28.85, 100.0
33.43, 48.8
56.98, 44.3
48.01, 38.0
59.76, 12.5
16.54, 0.6

Structure and simulated powder X-ray diffraction pattern of CeEr2Hg4 (DFT lattice parameters and positions (GGA-PBE); a wavelength of 1.5418 Å).
Intensities are scaled so that the largest is 100.

Structure:
```
7
Lattice="2.4719 1.4271 8.9622 -2.4719 1.4271 8.9622 0.0000 -2.8543 8.9622" Properties=species:S:1:pos:R:3 pbc="T T T"
Ce 0.0000 0.0000 0.0000
Er 0.0000 0.0000 3.3552
Er 0.0000 0.0000 23.5314
Hg 0.0000 0.0000 6.5893
Hg 0.0000 0.0000 10.6320
Hg 0.0000 0.0000 16.2546
Hg 0.0000 0.0000 20.2974
```

Top 10 peaks for 2θ from 5° to 70°, most intense first:
Position (°2θ), I (rel.)
36.34, 100.0
33.91, 84.5
50.55, 27.7
63.84, 27.6
19.81, 26.1
41.73, 24.6
65.39, 18.4
26.61, 18.0
31.29, 10.0
52.20, 8.7

Structure and simulated powder X-ray diffraction pattern of CeEr2Hg4 (DFT lattice parameters and positions (GGA-PBE); a wavelength of 1.5418 Å).
Intensities are scaled so that the largest is 100.

Structure:
```
7
Lattice="5.2191 0.0000 0.0000 0.0000 5.2191 0.0000 0.0000 0.0000 7.2052" Properties=species:S:1:pos:R:3 pbc="T T T"
Ce 0.0000 0.0000 0.0000
Er 0.0000 0.0000 3.6026
Er 2.6095 2.6095 0.0000
Hg 0.0000 2.6095 1.9416
Hg 0.0000 2.6095 5.2636
Hg 2.6095 0.0000 1.9416
Hg 2.6095 0.0000 5.2636
```

Top 10 peaks for 2θ from 5° to 70°, most intense first:
Position (°2θ), I (rel.)
34.80, 100.0
34.37, 53.7
61.83, 38.6
49.39, 19.6
62.67, 16.5
24.12, 8.6
21.02, 8.3
50.68, 7.8
27.15, 6.9
51.73, 3.8

Structure and simulated powder X-ray diffraction pattern of CeErMg2Hg4 (DFT lattice parameters and positions (GGA-PBE); a wavelength of 1.5418 Å).
Intensities are scaled so that the largest is 100.

Structure:
```
8
Lattice="2.5516 1.4732 8.4135 -2.5516 1.4732 8.4135 0.0000 -2.9463 8.4135" Properties=species:S:1:pos:R:3 pbc="T T T"
Ce 0.0000 0.0000 0.0000
Er 0.0000 0.0000 12.6203
Mg 0.0000 0.0000 6.2935
Mg 0.0000 0.0000 18.9470
Hg 0.0000 0.0000 3.2184
Hg 0.0000 0.0000 9.5570
Hg 0.0000 0.0000 15.6836
Hg 0.0000 0.0000 22.0221
```

Top 10 peaks for 2θ from 5° to 70°, most intense first:
Position (°2θ), I (rel.)
34.94, 100.0
35.17, 100.0
62.96, 36.9
50.42, 35.8
24.59, 35.2
63.11, 18.6
62.52, 17.9
21.30, 17.5
41.42, 8.5
43.39, 8.4

Structure and simulated powder X-ray diffraction pattern of CeErSiHg (DFT lattice parameters and positions (GGA-PBE); a wavelength of 1.5418 Å).
Intensities are scaled so that the largest is 100.

Structure:
```
4
Lattice="0.0000 3.6471 3.6471 3.6471 0.0000 3.6471 3.6471 3.6471 0.0000" Properties=species:S:1:pos:R:3 pbc="T T T"
Ce 0.0000 0.0000 0.0000
Er 3.6471 3.6471 3.6471
Si 1.8235 1.8235 1.8235
Hg 5.4706 5.4706 5.4706
```

Top 10 peaks for 2θ from 5° to 70°, most intense first:
Position (°2θ), I (rel.)
34.79, 100.0
62.37, 37.2
21.10, 23.5
50.02, 18.0
41.04, 13.7
54.86, 6.0
66.62, 4.5
24.41, 2.5
56.41, 1.0
42.95, 0.7

Structure and simulated powder X-ray diffraction pattern of CeErTmHg (DFT lattice parameters and positions (GGA-PBE); a wavelength of 1.5418 Å).
Intensities are scaled so that the largest is 100.

Structure:
```
4
Lattice="0.0000 3.7318 3.7318 3.7318 0.0000 3.7318 3.7318 3.7318 0.0000" Properties=species:S:1:pos:R:3 pbc="T T T"
Ce 0.0000 0.0000 0.0000
Er 1.8659 1.8659 1.8659
Tm 5.5977 5.5977 5.5977
Hg 3.7318 3.7318 3.7318
```

Top 5 peaks for 2θ from 5° to 70°, most intense first:
Position (°2θ), I (rel.)
33.97, 100.0
60.80, 37.8
48.81, 18.2
20.61, 1.7
40.07, 1.1

Structure and simulated powder X-ray diffraction pattern of CeHo5Er3 (DFT lattice parameters and positions (GGA-PBE); a wavelength of 1.5418 Å).
Intensities are scaled so that the largest is 100.

Structure:
```
18
Lattice="-4.2338 4.2338 7.7797 4.2338 -4.2338 7.7797 4.2338 4.2338 -7.7797" Properties=species:S:1:pos:R:3 pbc="T T T"
Ce 4.2338 0.0000 3.8898
Ce 0.0000 4.2338 3.8898
Ho 0.0000 0.0000 0.0000
Ho 5.8894 1.6555 -2.1657
Ho 1.6555 2.5783 -2.1657
Ho 5.8894 1.6555 2.1657
Ho 1.6555 2.5783 2.1657
Ho 0.0000 0.0000 7.7797
Ho 2.5783 1.6555 5.6140
Ho -1.6555 2.5783 5.6140
Ho 2.5783 1.6555 9.9454
Ho -1.6555 2.5783 9.9454
Er 3.1915 1.0423 0.0000
Er 0.0000 0.0000 3.8898
Er 3.1915 -1.0423 7.7797
Er 1.0423 5.2761 0.0000
Er 0.0000 0.0000 11.6695
Er 1.0423 3.1915 7.7797
```

Top 10 peaks for 2θ from 5° to 70°, most intense first:
Position (°2θ), I (rel.)
31.23, 100.0
29.20, 85.4
29.84, 46.1
33.46, 26.7
47.62, 18.1
38.78, 17.8
37.40, 17.8
46.70, 15.3
53.85, 14.8
44.50, 13.3